Starting from a PBE-relaxed structure, the powder X-ray diffraction pattern of PmAl6Fe3 was calculated for Cu Ka.

Cell and atoms:
```
PmAl6Fe3
1.0
2.707 1.563 6.393
-2.707 1.563 6.393
0.000 -3.125 6.393
Pm Al Fe
1 6 3
direct
0.000 0.000 0.000
0.104 0.600 0.600
0.402 0.402 0.901
0.402 0.901 0.402
0.600 0.104 0.600
0.600 0.600 0.104
0.901 0.402 0.402
0.339 0.339 0.339
0.671 0.671 0.671
0.861 0.861 0.861
```

Main lines, by angle (2θ = 10–90°):
2θ/deg	I_rel
13.9	67
19.5	29
33.1	68
36.0	79
38.7	41
42.4	32
43.8	100
54.8	28
66.6	27
69.5	24